Calculated powder diffraction line list
Compound: SrMoAsH3O8
Radiation: Cu Kα
Structure: the PBE+U geometry in Alexandria
Lines closer than 0.1° are merged.

Structure:
```
data_SrMoAsH3O8
_cell_length_a 15.797
_cell_length_b 10.531
_cell_length_c 10.262
_cell_angle_alpha 90.00
_cell_angle_beta 123.04
_cell_angle_gamma 90.00
_space_group_name_H-M_alt 'C 1 2/c 1'
_space_group_IT_number 15
loop_
_space_group_symop_operation_xyz
'x,y,z'
'-x,-y,-z'
'-x,y,-z+1/2'
'x,-y,z+1/2'
'x+1/2,y+1/2,z'
'-x+1/2,-y+1/2,-z'
'-x+1/2,y+1/2,-z+1/2'
'x+1/2,-y+1/2,z+1/2'
loop_
_atom_site_label
_atom_site_type_symbol
_atom_site_fract_x
_atom_site_fract_y
_atom_site_fract_z
Sr1 Sr 0.071 0.233 0.110
Mo1 Mo 0.160 0.414 0.778
As1 As 0.190 0.092 0.811
H1 H 0.048 0.194 0.724
H2 H 0.138 0.244 0.472
H3 H 0.141 0.096 0.444
O1 O 0.057 0.117 0.675
O2 O 0.083 0.371 0.579
O3 O 0.102 0.176 0.397
O4 O 0.104 0.326 0.862
O5 O 0.125 0.426 0.274
O6 O 0.201 0.057 0.982
O7 O 0.209 0.042 0.237
O8 O 0.248 0.226 0.805
```

Top 10 peaks for 2θ from 10° to 90°, by intensity:
h k l	Position (°2θ)	Rel. int.
3 3 -1	30.61	100
4 0 -2	23.32	77
1 3 -1	26.88	58
1 1 -3	29.30	58
0 0 2	20.65	57
2 2 0	21.56	48
1 1 -1	12.09	46
3 3 -3	36.82	32
3 1 1	28.59	32
1 3 1	29.62	25